No. 1
This entry pairs a crystal structure of Eu2MnP3Pt7 with its theoretical powder X-ray diffraction pattern. Radiation: Cu Ka. Structure: a structure optimized by DFT (GGA-PBE).

Atomic structure:
Unit cell a=4.102 b=4.102 c=27.181 alpha=90.00 beta=90.00 gamma=90.00
Space group I-4m2 (No. 119)
Inequivalent atoms, fractional coordinates:
Eu  0.000  0.000  0.165
Mn  0.000  0.000  0.000
P  0.000  0.000  0.380
P  0.000  0.500  0.250
Pt  0.000  0.000  0.293
Pt  0.000  0.000  0.500
Pt  0.000  0.500  0.071
Pt  0.000  0.500  0.572

Top 10 peaks for 15 to 90 degrees two-theta, by intensity:
2θ/deg  d/Å  I (rel.)  h k l
36.80  2.443  100.0  1 1 6
44.16  2.051  58.4  2 0 0
31.54  2.836  40.5  1 1 2
36.96  2.432  33.0  1 0 9
76.38  1.247  24.2  3 1 6
64.23  1.450  19.3  2 2 0
58.91  1.568  17.2  2 1 9
40.91  2.206  17.2  1 1 8
26.23  3.398  16.9  0 0 8
55.42  1.658  15.9  1 0 15


No. 2
This entry pairs a crystal structure of Pm2CuRh with its theoretical powder X-ray diffraction pattern. Radiation: Cu Ka. Structure: a structure optimized by DFT (GGA-PBE).

Atomic structure:
Unit cell a=7.085 b=7.085 c=7.085 alpha=90.00 beta=90.00 gamma=90.00
Space group Fm-3m (No. 225)
Inequivalent atoms, fractional coordinates:
Pm  0.250  0.250  0.250
Cu  0.000  0.000  0.000
Rh  0.000  0.000  0.500

Top 10 peaks for 15 to 90 degrees two-theta, by intensity:
2θ/deg  d/Å  I (rel.)  h k l
35.85  2.505  100.0  2 2 0
64.43  1.446  35.4  4 2 2
51.60  1.771  17.5  4 0 0
86.98  1.120  15.6  6 2 0
75.99  1.252  10.9  4 4 0
25.14  3.542  7.9  2 0 0
58.24  1.584  3.4  4 2 0
44.29  2.045  2.4  2 2 2
81.52  1.181  1.7  6 0 0
21.73  4.090  1.5  1 1 1


No. 3
This entry pairs a crystal structure of V3N4 with its theoretical powder X-ray diffraction pattern. Radiation: Cu Ka. Structure: a structure optimized by DFT (GGA-PBE).

Atomic structure:
Unit cell a=7.8409 b=7.8409 c=2.8494 alpha=90.00 beta=90.00 gamma=120.00
Space group P6_3/m (No. 176)
Inequivalent atoms, fractional coordinates:
V  0.1376  0.4680  0.2500
N  0.0488  0.6792  0.2500
N  0.3333  0.6667  0.7500

Top 10 peaks for 15 to 90 degrees two-theta, by intensity:
2θ/deg  d/Å  I (rel.)  h k l
34.96  2.567  100.0  1 2 0
47.69  1.907  80.3  2 1 1
34.12  2.627  69.9  1 0 1
57.03  1.615  53.6  2 2 1
48.33  1.883  24.6  1 3 0
41.37  2.183  20.4  2 0 1
76.47  1.246  18.0  1 2 2
62.70  1.482  15.3  4 1 0
46.32  1.960  14.7  2 2 0
77.93  1.226  13.4  5 0 1


No. 4
This entry pairs a crystal structure of Ca2Mg with its theoretical powder X-ray diffraction pattern. Radiation: Cu Ka. Structure: a structure optimized by DFT (GGA-PBE).

Atomic structure:
Unit cell a=5.875 b=3.771 c=19.222 alpha=90.00 beta=90.00 gamma=90.00
Space group Amm2 (No. 38)
Inequivalent atoms, fractional coordinates:
Ca  0.000  0.000  0.000
Ca  0.000  0.000  0.328
Ca  0.000  0.000  0.665
Ca  0.500  0.000  0.886
Mg  0.500  0.000  0.218
Mg  0.500  0.000  0.553

Top 10 peaks for 15 to 90 degrees two-theta, by intensity:
2θ/deg  d/Å  I (rel.)  h k l
31.46  2.844  100.0  1 1 3
31.82  2.813  47.4  1 0 6
30.43  2.938  36.1  2 0 0
27.44  3.250  25.0  0 1 3
58.79  1.571  18.8  2 1 9
54.72  1.677  18.3  3 1 3
49.02  1.858  17.2  0 1 9
41.43  2.179  15.2  2 1 3
58.97  1.566  14.0  1 2 6
27.85  3.204  12.7  0 0 6


No. 5
This entry pairs a crystal structure of MgSi2 with its theoretical powder X-ray diffraction pattern. Radiation: Cu Ka. Structure: a structure optimized by DFT (GGA-PBE).

Atomic structure:
Unit cell a=5.921 b=6.747 c=11.514 alpha=77.11 beta=85.28 gamma=86.04
Space group P1 (No. 1)
Inequivalent atoms, fractional coordinates:
Mg  0.000  0.000  0.000
Mg  0.019  0.062  0.461
Mg  0.095  0.519  0.413
Mg  0.202  0.452  0.000
Mg  0.492  0.100  0.905
Mg  0.512  0.273  0.325
Mg  0.607  0.512  0.774
Mg  0.654  0.649  0.016
Si  0.052  0.663  0.646
Si  0.152  0.333  0.765
Si  0.306  0.064  0.156
Si  0.308  0.800  0.845
Si  0.315  0.235  0.585
Si  0.356  0.670  0.202
Si  0.381  0.866  0.626
Si  0.392  0.860  0.356
Si  0.654  0.239  0.081
Si  0.694  0.333  0.542
Si  0.716  0.699  0.530
Si  0.796  0.870  0.319
Si  0.828  0.170  0.732
Si  0.909  0.812  0.812
Si  0.956  0.651  0.184
Si  0.960  0.273  0.216

Top 10 peaks for 15 to 90 degrees two-theta, by intensity:
2θ/deg  d/Å  I (rel.)  h k l
34.11  2.629  100.0  1 -2 1
34.53  2.598  75.0  1 0 4
36.71  2.448  50.0  -1 1 4
37.34  2.408  45.4  0 2 4
40.25  2.241  26.6  0 3 1
37.74  2.384  25.0  1 2 -2
33.99  2.637  24.5  2 -1 0
37.57  2.394  24.4  2 1 3
49.39  1.845  23.3  2 3 1
35.39  2.536  20.3  2 0 -2


No. 6
This entry pairs a crystal structure of Hf3Si with its theoretical powder X-ray diffraction pattern. Radiation: Cu Ka. Structure: a structure optimized by DFT (GGA-PBE).

Atomic structure:
Unit cell a=6.0650 b=6.0650 c=4.8897 alpha=90.00 beta=90.00 gamma=120.00
Space group P6_3/mmc (No. 194)
Inequivalent atoms, fractional coordinates:
Hf  0.1708  0.3417  0.2500
Si  0.3333  0.6667  0.7500

Top 10 peaks for 15 to 90 degrees two-theta, by intensity:
2θ/deg  d/Å  I (rel.)  h k l
38.93  2.314  100.0  2 0 1
36.76  2.445  26.1  0 0 2
24.88  3.579  25.5  1 0 1
34.14  2.626  23.8  2 0 0
73.49  1.289  20.7  2 2 2
67.65  1.385  19.9  2 0 3
61.12  1.516  17.8  2 2 0
51.04  1.789  15.4  2 0 2
74.88  1.268  14.7  4 0 1
29.45  3.032  9.6  1 1 0